# ScCoReTc
Calculated PXRD pattern, λ = 1.5418 Å (Cu Kα). Input: DFT lattice parameters and positions (PBE).

```
data_ScCoReTc
_cell_length_a 6.192
_cell_length_b 6.192
_cell_length_c 6.192
_cell_angle_alpha 90.00
_cell_angle_beta 90.00
_cell_angle_gamma 90.00
_symmetry_space_group_name_H-M 'F -4 3 m'
_symmetry_Int_Tables_number 216
_symmetry_space_group_name_Hall 'F -4 2 3'
loop_
_atom_site_label
_atom_site_fract_x
_atom_site_fract_y
_atom_site_fract_z
Sc1 0.000 0.000 0.000
Co1 0.250 0.250 0.250
Re1 0.000 0.000 0.500
Tc1 0.250 0.250 0.750
```

Main lines, by intensity (10 to 90 degrees two-theta):
Position (°2θ)	d/Å	I (rel.)	index
41.24	2.189	100.0	2 2 0
24.91	3.575	33.5	1 1 1
75.18	1.264	32.6	4 2 2
48.78	1.867	17.6	3 1 1
59.74	1.548	16.3	4 0 0
89.55	1.095	10.7	4 4 0
65.74	1.420	7.5	3 3 1
80.63	1.192	5.8	5 1 1
28.84	3.096	3.5	2 0 0
67.67	1.384	1.5	4 2 0